[1]
Diffraction record for PrHo4ErSe8. The powder XRD pattern is simulated, not measured: it uses a crystal structure in Alexandria, relaxed with PBE and Cu Kα.

Largest 10 diffraction maxima, by angle, 10° ≤ 2θ ≤ 90°:
| (hkl) | two_theta | d [Å] | I_rel |
| --- | --- | --- | --- |
| 1 1 0 | 21.05 | 4.219 | 26 |
| 0 1 5 | 24.74 | 3.598 | 97 |
| 0 2 4 | 29.95 | 2.984 | 52 |
| 1 2 5 | 39.22 | 2.297 | 53 |
| 2 0 8 | 42.87 | 2.110 | 100 |
| 1 0 13 | 59.49 | 1.554 | 23 |
| 0 4 8 | 62.23 | 1.492 | 16 |
| 5 0 5 | 68.03 | 1.378 | 16 |
| 0 2 16 | 78.53 | 1.218 | 31 |
| 3 2 13 | 83.85 | 1.154 | 16 |

Structure:
```
data_PrHo4ErSe8
_chemical_formula_sum 'Pr3 Ho12 Er3 Se24'
_space_group_name_H-M_alt 'R 3 m'
_space_group_IT_number 160
_space_group_name_Hall 'R 3 -2"'
_cell_length_a 8.4418
_cell_length_b 8.4418
_cell_length_c 20.6567
_cell_angle_alpha 90.00
_cell_angle_beta 90.00
_cell_angle_gamma 120.00
loop_
_atom_site_label
_atom_site_type_symbol
_atom_site_fract_x
_atom_site_fract_y
_atom_site_fract_z
_atom_site_occupancy
Pr1 Pr 0.0000 0.0000 0.0000 1
Ho1 Ho 0.0000 0.0000 0.2496 1
Ho2 Ho 0.0027 0.5013 0.1252 1
Er1 Er 0.0000 0.0000 0.6241 1
Se1 Se 0.0000 0.0000 0.3816 1
Se2 Se 0.0000 0.0000 0.8631 1
Se3 Se 0.0322 0.5161 0.3785 1
Se4 Se 0.1765 0.3529 0.2064 1
```

***

[2]
Diffraction record for Pr2SmHo4Er. The powder XRD pattern is simulated, not measured: it uses a crystal structure in Alexandria, relaxed with PBE and Cu Kα.

Largest 10 diffraction maxima, by angle, 10° ≤ 2θ ≤ 90°:
| (hkl) | two_theta | d [Å] | I_rel |
| --- | --- | --- | --- |
| 1 1 2 | 30.57 | 2.925 | 100 |
| 0 2 0 | 35.23 | 2.547 | 17 |
| 2 0 0 | 35.41 | 2.535 | 17 |
| 0 0 4 | 35.69 | 2.516 | 17 |
| 2 2 0 | 50.81 | 1.797 | 12 |
| 0 2 4 | 51.02 | 1.790 | 12 |
| 1 3 2 | 60.35 | 1.534 | 15 |
| 3 1 2 | 60.58 | 1.528 | 14 |
| 1 1 6 | 60.96 | 1.520 | 14 |
| 2 2 4 | 63.63 | 1.462 | 12 |

Structure:
```
data_Pr2SmHo4Er
_chemical_formula_sum 'Pr2 Sm1 Ho4 Er1'
_space_group_name_H-M_alt 'P m m m'
_space_group_IT_number 47
_space_group_name_Hall '-P 2 2'
_cell_length_a 5.0705
_cell_length_b 5.0945
_cell_length_c 10.0638
_cell_angle_alpha 90.00
_cell_angle_beta 90.00
_cell_angle_gamma 90.00
loop_
_atom_site_label
_atom_site_type_symbol
_atom_site_fract_x
_atom_site_fract_y
_atom_site_fract_z
_atom_site_occupancy
Pr1 Pr 0.0000 0.0000 0.0000 1
Pr2 Pr 0.5000 0.5000 0.5000 1
Sm1 Sm 0.0000 0.0000 0.5000 1
Ho1 Ho 0.0000 0.5000 0.2479 1
Ho2 Ho 0.5000 0.0000 0.2485 1
Er1 Er 0.5000 0.5000 0.0000 1
```

***

[3]
Diffraction record for PrSmHo5Er2. The powder XRD pattern is simulated, not measured: it uses a crystal structure in Alexandria, relaxed with PBE and Cu Kα.

Largest 10 diffraction maxima, by angle, 10° ≤ 2θ ≤ 90°:
| (hkl) | two_theta | d [Å] | I_rel |
| --- | --- | --- | --- |
| 2 2 0 | 28.10 | 3.176 | 52 |
| 2 1 3 | 28.87 | 3.093 | 53 |
| 3 1 0 | 31.49 | 2.841 | 17 |
| 2 0 4 | 31.67 | 2.825 | 100 |
| 3 1 2 | 33.88 | 2.646 | 13 |
| 3 2 1 | 36.59 | 2.456 | 24 |
| 2 1 5 | 38.21 | 2.355 | 19 |
| 4 1 1 | 41.93 | 2.155 | 18 |
| 4 2 4 | 52.02 | 1.758 | 17 |
| 2 2 8 | 58.52 | 1.577 | 13 |

Structure:
```
data_PrSmHo5Er2
_chemical_formula_sum 'Pr4 Sm4 Ho20 Er8'
_space_group_name_H-M_alt 'I 4/m c m'
_space_group_IT_number 140
_space_group_name_Hall '-I 4 2c'
_cell_length_a 8.9832
_cell_length_b 8.9832
_cell_length_c 14.5377
_cell_angle_alpha 90.00
_cell_angle_beta 90.00
_cell_angle_gamma 90.00
loop_
_atom_site_label
_atom_site_type_symbol
_atom_site_fract_x
_atom_site_fract_y
_atom_site_fract_z
_atom_site_occupancy
Pr1 Pr 0.0000 0.0000 0.2500 1
Sm1 Sm 0.0000 0.5000 0.2500 1
Ho1 Ho 0.0000 0.0000 0.0000 1
Ho2 Ho 0.2029 0.2971 0.1298 1
Er1 Er 0.1120 0.3880 0.5000 1
```

***

[4]
Diffraction record for Tb2PrHoEr4. The powder XRD pattern is simulated, not measured: it uses a crystal structure in Alexandria, relaxed with PBE and Cu Kα.

Largest 10 diffraction maxima, by angle, 10° ≤ 2θ ≤ 90°:
| (hkl) | two_theta | d [Å] | I_rel |
| --- | --- | --- | --- |
| 0 2 2 | 26.95 | 3.308 | 46 |
| 2 2 0 | 30.47 | 2.934 | 100 |
| 2 4 2 | 41.12 | 2.195 | 89 |
| 4 2 2 | 54.14 | 1.694 | 20 |
| 4 4 4 | 61.50 | 1.508 | 27 |
| 4 4 0 | 63.41 | 1.467 | 12 |
| 2 6 4 | 64.69 | 1.441 | 23 |
| 4 6 2 | 70.18 | 1.341 | 18 |
| 2 2 8 | 81.27 | 1.184 | 8 |
| 6 4 2 | 88.08 | 1.109 | 10 |

Structure:
```
data_Tb2PrHoEr4
_chemical_formula_sum 'Tb4 Pr2 Ho2 Er8'
_space_group_name_H-M_alt 'P -1'
_space_group_IT_number 2
_space_group_name_Hall '-P 1'
_cell_length_a 6.7779
_cell_length_b 9.4655
_cell_length_c 9.4685
_cell_angle_alpha 76.58
_cell_angle_beta 69.08
_cell_angle_gamma 69.07
loop_
_atom_site_label
_atom_site_type_symbol
_atom_site_fract_x
_atom_site_fract_y
_atom_site_fract_z
_atom_site_occupancy
Tb1 Tb 0.0000 0.0000 0.0000 1
Tb2 Tb 0.0000 0.0000 0.5000 1
Tb3 Tb 0.0000 0.5000 0.0000 1
Tb4 Tb 0.5000 0.0000 0.0000 1
Pr1 Pr 0.5000 0.0000 0.5000 1
Pr2 Pr 0.5000 0.5000 0.0000 1
Ho1 Ho 0.0000 0.5000 0.5000 1
Ho2 Ho 0.5000 0.5000 0.5000 1
Er1 Er 0.2473 0.2511 0.2514 1
Er2 Er 0.2483 0.7497 0.2522 1
Er3 Er 0.2498 0.2522 0.7497 1
Er4 Er 0.2498 0.7486 0.7489 1
```

***

[5]
Diffraction record for TbPrHo2Er2. The powder XRD pattern is simulated, not measured: it uses a crystal structure in Alexandria, relaxed with PBE and Cu Kα.

Largest 10 diffraction maxima, by angle, 10° ≤ 2θ ≤ 90°:
| (hkl) | two_theta | d [Å] | I_rel |
| --- | --- | --- | --- |
| 0 1 1 | 26.79 | 3.328 | 32 |
| 2 2 0 | 29.05 | 3.073 | 100 |
| 0 6 0 | 30.29 | 2.950 | 82 |
| 0 3 1 | 30.42 | 2.938 | 98 |
| 1 2 1 | 31.39 | 2.850 | 35 |
| 1 6 0 | 33.30 | 2.690 | 30 |
| 2 4 0 | 34.04 | 2.634 | 58 |
| 1 4 1 | 36.09 | 2.489 | 36 |
| 2 1 1 | 38.56 | 2.335 | 26 |
| 2 3 1 | 41.26 | 2.188 | 73 |

Structure:
```
data_TbPrHo2Er2
_chemical_formula_sum 'Tb2 Pr2 Ho4 Er4'
_space_group_name_H-M_alt 'P n n m'
_space_group_IT_number 58
_space_group_name_Hall '-P 2 2n'
_cell_length_a 6.5548
_cell_length_b 17.7026
_cell_length_c 3.3881
_cell_angle_alpha 90.00
_cell_angle_beta 90.00
_cell_angle_gamma 90.00
loop_
_atom_site_label
_atom_site_type_symbol
_atom_site_fract_x
_atom_site_fract_y
_atom_site_fract_z
_atom_site_occupancy
Tb1 Tb 0.0000 0.0000 0.0000 1
Pr1 Pr 0.0000 0.5000 0.0000 1
Ho1 Ho 0.2212 0.1496 0.5000 1
Er1 Er 0.2242 0.3154 0.0000 1
```

***

[6]
Diffraction record for TbPrHo6Er2. The powder XRD pattern is simulated, not measured: it uses a crystal structure in Alexandria, relaxed with PBE and Cu Kα.

Largest 10 diffraction maxima, by angle, 10° ≤ 2θ ≤ 90°:
| (hkl) | two_theta | d [Å] | I_rel |
| --- | --- | --- | --- |
| 2 2 -2 | 28.47 | 3.135 | 26 |
| 1 3 2 | 28.63 | 3.118 | 64 |
| 3 1 -1 | 30.70 | 2.912 | 98 |
| 0 2 3 | 30.97 | 2.887 | 98 |
| 2 2 2 | 31.27 | 2.860 | 100 |
| 1 5 0 | 31.49 | 2.841 | 67 |
| 2 4 -1 | 31.82 | 2.812 | 61 |
| 1 5 -1 | 32.63 | 2.745 | 44 |
| 1 3 -3 | 34.35 | 2.610 | 72 |
| 2 2 -3 | 35.15 | 2.553 | 27 |

Structure:
```
data_TbPrHo6Er2
_chemical_formula_sum 'Tb4 Pr4 Ho24 Er8'
_space_group_name_H-M_alt 'C 1 2/c 1'
_space_group_IT_number 15
_space_group_name_Hall '-C 2yc'
_cell_length_a 9.1086
_cell_length_b 14.9620
_cell_length_c 9.4480
_cell_angle_alpha 90.00
_cell_angle_beta 96.25
_cell_angle_gamma 90.00
loop_
_atom_site_label
_atom_site_type_symbol
_atom_site_fract_x
_atom_site_fract_y
_atom_site_fract_z
_atom_site_occupancy
Tb1 Tb 0.0000 0.0900 0.2500 1
Pr1 Pr 0.0000 0.4709 0.7500 1
Ho1 Ho 0.0630 0.3157 0.4425 1
Ho2 Ho 0.0975 0.1106 0.6165 1
Ho3 Ho 0.2103 0.2729 0.8187 1
Er1 Er 0.2483 0.0525 0.9516 1
```

***

[7]
Diffraction record for TbPr2Ho2Er. The powder XRD pattern is simulated, not measured: it uses a crystal structure in Alexandria, relaxed with PBE and Cu Kα.

Largest 10 diffraction maxima, by angle, 10° ≤ 2θ ≤ 90°:
| (hkl) | two_theta | d [Å] | I_rel |
| --- | --- | --- | --- |
| 2 1 1 | 31.27 | 2.860 | 91 |
| 0 2 0 | 31.57 | 2.834 | 100 |
| 2 2 0 | 40.88 | 2.207 | 11 |
| 2 2 2 | 45.03 | 2.013 | 33 |
| 2 3 1 | 56.03 | 1.641 | 35 |
| 0 3 3 | 56.22 | 1.636 | 19 |
| 4 1 3 | 62.09 | 1.495 | 19 |
| 0 4 0 | 65.92 | 1.417 | 12 |
| 2 4 2 | 74.76 | 1.270 | 15 |
| 4 3 3 | 80.09 | 1.198 | 14 |

Structure:
```
data_TbPr2Ho2Er
_chemical_formula_sum 'Tb2 Pr4 Ho4 Er2'
_space_group_name_H-M_alt 'P m m a'
_space_group_IT_number 51
_space_group_name_Hall '-P 2a 2a'
_cell_length_a 7.0382
_cell_length_b 5.6668
_cell_length_c 9.8205
_cell_angle_alpha 90.00
_cell_angle_beta 90.00
_cell_angle_gamma 90.00
loop_
_atom_site_label
_atom_site_type_symbol
_atom_site_fract_x
_atom_site_fract_y
_atom_site_fract_z
_atom_site_occupancy
Tb1 Tb 0.2500 0.0000 0.1580 1
Pr1 Pr 0.0000 0.0000 0.5000 1
Pr2 Pr 0.2500 0.5000 0.6783 1
Ho1 Ho 0.2500 0.0000 0.8327 1
Ho2 Ho 0.2500 0.5000 0.3355 1
Er1 Er 0.0000 0.5000 0.0000 1
```

***

[8]
Diffraction record for Pr5HoEr2Th. The powder XRD pattern is simulated, not measured: it uses a crystal structure in Alexandria, relaxed with PBE and Cu Kα.

Largest 10 diffraction maxima, by angle, 10° ≤ 2θ ≤ 90°:
| (hkl) | two_theta | d [Å] | I_rel |
| --- | --- | --- | --- |
| 1 3 2 | 26.44 | 3.371 | 13 |
| 1 1 3 | 30.30 | 2.950 | 14 |
| 1 5 2 | 31.24 | 2.863 | 100 |
| 1 3 3 | 32.52 | 2.753 | 13 |
| 2 0 0 | 32.95 | 2.719 | 37 |
| 0 0 4 | 33.59 | 2.668 | 19 |
| 2 0 4 | 47.77 | 1.904 | 19 |
| 3 5 2 | 57.74 | 1.597 | 18 |
| 1 5 6 | 58.60 | 1.575 | 10 |
| 1 13 2 | 60.55 | 1.529 | 10 |

Structure:
```
data_Pr5HoEr2Th
_chemical_formula_sum 'Pr20 Ho4 Er8 Th4'
_space_group_name_H-M_alt 'C m c m'
_space_group_IT_number 63
_space_group_name_Hall '-C 2c 2'
_cell_length_a 5.4404
_cell_length_b 21.7011
_cell_length_c 10.6712
_cell_angle_alpha 90.00
_cell_angle_beta 90.00
_cell_angle_gamma 90.00
loop_
_atom_site_label
_atom_site_type_symbol
_atom_site_fract_x
_atom_site_fract_y
_atom_site_fract_z
_atom_site_occupancy
Pr1 Pr 0.0000 0.0000 0.0000 1
Pr2 Pr 0.0000 0.1260 0.2500 1
Pr3 Pr 0.0000 0.2217 0.5571 1
Pr4 Pr 0.0000 0.4979 0.7500 1
Ho1 Ho 0.0000 0.1017 0.7500 1
Er1 Er 0.0000 0.3873 0.0051 1
Th1 Th 0.0000 0.2878 0.2500 1
```

***

[9]
Diffraction record for Pr5Ho2ErTh. The powder XRD pattern is simulated, not measured: it uses a crystal structure in Alexandria, relaxed with PBE and Cu Kα.

Largest 10 diffraction maxima, by angle, 10° ≤ 2θ ≤ 90°:
| (hkl) | two_theta | d [Å] | I_rel |
| --- | --- | --- | --- |
| 1 3 2 | 26.43 | 3.372 | 13 |
| 1 1 3 | 30.30 | 2.950 | 14 |
| 1 5 2 | 31.21 | 2.865 | 100 |
| 1 3 3 | 32.51 | 2.754 | 14 |
| 2 0 0 | 32.93 | 2.720 | 37 |
| 0 0 4 | 33.59 | 2.668 | 19 |
| 2 0 4 | 47.75 | 1.905 | 19 |
| 3 5 2 | 57.71 | 1.597 | 18 |
| 1 5 6 | 58.57 | 1.576 | 12 |
| 1 13 2 | 60.45 | 1.531 | 9 |

Structure:
```
data_Pr5Ho2ErTh
_chemical_formula_sum 'Pr20 Ho8 Er4 Th4'
_space_group_name_H-M_alt 'C m c m'
_space_group_IT_number 63
_space_group_name_Hall '-C 2c 2'
_cell_length_a 5.4418
_cell_length_b 21.7410
_cell_length_c 10.6711
_cell_angle_alpha 90.00
_cell_angle_beta 90.00
_cell_angle_gamma 90.00
loop_
_atom_site_label
_atom_site_type_symbol
_atom_site_fract_x
_atom_site_fract_y
_atom_site_fract_z
_atom_site_occupancy
Pr1 Pr 0.0000 0.0000 0.0000 1
Pr2 Pr 0.0000 0.1264 0.2500 1
Pr3 Pr 0.0000 0.2220 0.5577 1
Pr4 Pr 0.0000 0.4980 0.7500 1
Ho1 Ho 0.0000 0.3877 0.0053 1
Er1 Er 0.0000 0.1018 0.7500 1
Th1 Th 0.0000 0.2883 0.2500 1
```

***

[10]
Diffraction record for Pr2Ho4ErTm2. The powder XRD pattern is simulated, not measured: it uses a crystal structure in Alexandria, relaxed with PBE and Cu Kα.

Largest 10 diffraction maxima, by angle, 10° ≤ 2θ ≤ 90°:
| (hkl) | two_theta | d [Å] | I_rel |
| --- | --- | --- | --- |
| 2 1 1 | 29.88 | 2.990 | 42 |
| 0 2 1 | 31.43 | 2.846 | 58 |
| 1 0 -2 | 31.88 | 2.807 | 100 |
| 1 1 3 | 32.50 | 2.755 | 94 |
| 2 -1 0 | 42.96 | 2.105 | 16 |
| 2 3 2 | 44.87 | 2.020 | 13 |
| 0 1 -4 | 48.34 | 1.883 | 17 |
| -1 2 3 | 55.80 | 1.648 | 11 |
| 1 3 4 | 57.03 | 1.615 | 18 |
| 2 0 5 | 57.87 | 1.593 | 12 |

Structure:
```
data_Pr2Ho4ErTm2
_chemical_formula_sum 'Pr2 Ho4 Er1 Tm2'
_space_group_name_H-M_alt 'P -1'
_space_group_IT_number 2
_space_group_name_Hall '-P 1'
_cell_length_a 5.9849
_cell_length_b 6.5961
_cell_length_c 8.5553
_cell_angle_alpha 79.77
_cell_angle_beta 70.34
_cell_angle_gamma 65.30
loop_
_atom_site_label
_atom_site_type_symbol
_atom_site_fract_x
_atom_site_fract_y
_atom_site_fract_z
_atom_site_occupancy
Pr1 Pr 0.2316 0.3229 0.3417 1
Ho1 Ho 0.1119 0.1251 0.7655 1
Ho2 Ho 0.2436 0.5706 0.8850 1
Er1 Er 0.5000 0.0000 0.0000 1
Tm1 Tm 0.3235 0.7694 0.4455 1
```

***

[11]
Diffraction record for Pr4Ho2Er2Tm. The powder XRD pattern is simulated, not measured: it uses a crystal structure in Alexandria, relaxed with PBE and Cu Kα.

Largest 10 diffraction maxima, by angle, 10° ≤ 2θ ≤ 90°:
| (hkl) | two_theta | d [Å] | I_rel |
| --- | --- | --- | --- |
| 3 1 1 | 30.40 | 2.941 | 100 |
| 0 2 0 | 35.24 | 2.547 | 51 |
| 0 2 3 | 50.69 | 1.801 | 36 |
| 3 3 1 | 60.26 | 1.536 | 43 |
| 6 2 2 | 63.24 | 1.470 | 12 |
| 0 4 0 | 74.56 | 1.273 | 4 |
| 9 3 0 | 82.55 | 1.169 | 15 |
| 3 3 4 | 82.61 | 1.168 | 3 |
| 12 2 -2 | 85.13 | 1.140 | 7 |
| 0 4 3 | 85.24 | 1.138 | 10 |

Structure:
```
data_Pr4Ho2Er2Tm
_chemical_formula_sum 'Pr8 Ho4 Er4 Tm2'
_space_group_name_H-M_alt 'C 1 2/m 1'
_space_group_IT_number 12
_space_group_name_Hall '-C 2y'
_cell_length_a 15.2966
_cell_length_b 5.0896
_cell_length_c 8.0537
_cell_angle_alpha 90.00
_cell_angle_beta 108.48
_cell_angle_gamma 90.00
loop_
_atom_site_label
_atom_site_type_symbol
_atom_site_fract_x
_atom_site_fract_y
_atom_site_fract_z
_atom_site_occupancy
Pr1 Pr 0.0534 0.0000 0.3302 1
Pr2 Pr 0.2229 0.5000 0.3315 1
Ho1 Ho 0.1671 0.0000 0.9996 1
Er1 Er 0.1114 0.5000 0.6709 1
Tm1 Tm 0.0000 0.5000 0.0000 1
```

***

[12]
Diffraction record for PrHo3Er2Tm6. The powder XRD pattern is simulated, not measured: it uses a crystal structure in Alexandria, relaxed with PBE and Cu Kα.

Largest 10 diffraction maxima, by angle, 10° ≤ 2θ ≤ 90°:
| (hkl) | two_theta | d [Å] | I_rel |
| --- | --- | --- | --- |
| 1 3 1 | 31.16 | 2.870 | 100 |
| 2 0 2 | 36.14 | 2.486 | 51 |
| 1 3 5 | 52.03 | 1.758 | 36 |
| 4 0 0 | 61.91 | 1.499 | 43 |
| 2 6 2 | 64.99 | 1.435 | 12 |
| 4 0 4 | 76.68 | 1.243 | 6 |
| 4 6 0 | 85.00 | 1.141 | 6 |
| 1 9 1 | 85.08 | 1.140 | 12 |
| 5 3 1 | 87.78 | 1.112 | 8 |
| 1 9 -3 | 87.86 | 1.111 | 8 |

Structure:
```
data_PrHo3Er2Tm6
_chemical_formula_sum 'Pr2 Ho6 Er4 Tm12'
_space_group_name_H-M_alt 'C 1 2/m 1'
_space_group_IT_number 12
_space_group_name_Hall '-C 2y'
_cell_length_a 6.0934
_cell_length_b 10.5432
_cell_length_c 11.6512
_cell_angle_alpha 90.00
_cell_angle_beta 100.01
_cell_angle_gamma 90.00
loop_
_atom_site_label
_atom_site_type_symbol
_atom_site_fract_x
_atom_site_fract_y
_atom_site_fract_z
_atom_site_occupancy
Pr1 Pr 0.0000 0.0000 0.0000 1
Ho1 Ho 0.0000 0.1669 0.5000 1
Ho2 Ho 0.0000 0.5000 0.5000 1
Er1 Er 0.0000 0.3333 0.0000 1
Tm1 Tm 0.2486 0.3330 0.7484 1
Tm2 Tm 0.2500 0.0000 0.7485 1
```